Structure and calculated powder diffraction line list of Pm2Pr4Sb3N2 (a DFT-relaxed cell (GGA-PBE, Alexandria); Cu Ka).
No peak broadening, texture or thermal motion is included.

Atomic structure:
a = 4.848 Å, b = 4.848 Å, c = 26.141 Å
α = 90.00°, β = 90.00°, γ = 90.00°
Space group I4/mmm (No. 139)
Symmetry-distinct sites (fractional):
Pm (0.000, 0.000, 0.193) [4 per cell]
Pr (0.000, 0.500, 0.083) [8 per cell]
Sb (0.000, 0.000, 0.320) [4 per cell]
Sb (0.000, 0.000, 0.500) [2 per cell]
N (0.000, 0.000, 0.106) [4 per cell]

Peak list (6 most intense, 10° ≤ 2θ ≤ 90°, low angle first)
2theta  d [Å]  intensity
26.89  3.316  45
29.42  3.036  18
33.26  2.694  100
37.09  2.424  54
53.46  1.714  18
64.43  1.446  29

***

Structure and calculated powder diffraction line list of La5Pm (a DFT-relaxed cell (GGA-PBE, Alexandria); Cu Ka).
No peak broadening, texture or thermal motion is included.

Atomic structure:
a = 5.280 Å, b = 11.125 Å, c = 7.386 Å
α = 90.00°, β = 90.00°, γ = 90.00°
Space group Pmmn (No. 59, origin choice 2)
Symmetry-distinct sites (fractional):
La (0.250, 0.082, 0.126) [4 per cell]
La (0.250, 0.083, 0.624) [4 per cell]
La (0.250, 0.750, 0.626) [2 per cell]
Pm (0.250, 0.750, 0.124) [2 per cell]

Peak list (6 most intense, 10° ≤ 2θ ≤ 90°, low angle first)
2theta  d [Å]  intensity
29.48  3.030  100
33.96  2.640  17
34.27  2.617  34
49.02  1.858  24
58.03  1.589  15
58.37  1.581  14

***

Structure and calculated powder diffraction line list of Pr2ScZnPd6 (a DFT-relaxed cell (GGA-PBE, Alexandria); Cu Ka).
No peak broadening, texture or thermal motion is included.

Atomic structure:
a = 11.729 Å, b = 5.668 Å, c = 7.752 Å
α = 90.00°, β = 129.25°, γ = 90.00°
Space group C2/m (No. 12)
Symmetry-distinct sites (fractional):
Pr (0.001, 0.000, 0.243) [4 per cell]
Sc (0.000, 0.500, 0.500) [2 per cell]
Zn (0.000, 0.500, 0.000) [2 per cell]
Pd (0.183, 0.500, 0.933) [4 per cell]
Pd (0.250, 0.244, 0.694) [8 per cell]

Peak list (6 most intense, 10° ≤ 2θ ≤ 90°, low angle first)
2theta  d [Å]  intensity
35.80  2.508  41
37.40  2.404  100
39.40  2.287  93
39.69  2.271  58
40.40  2.232  64
41.69  2.166  55

***

Structure and calculated powder diffraction line list of SrTb3Mn (a DFT-relaxed cell (GGA-PBE, Alexandria); Cu Ka).
No peak broadening, texture or thermal motion is included.

Atomic structure:
a = 5.435 Å, b = 5.435 Å, c = 5.435 Å
α = 90.00°, β = 90.00°, γ = 90.00°
Space group Pm-3m (No. 221)
Symmetry-distinct sites (fractional):
Sr (0.000, 0.000, 0.000) [1 per cell]
Tb (0.000, 0.500, 0.500) [3 per cell]
Mn (0.500, 0.500, 0.500) [1 per cell]

Peak list (6 most intense, 10° ≤ 2θ ≤ 90°, low angle first)
2theta  d [Å]  intensity
28.45  3.138  100
32.96  2.717  77
47.31  1.921  56
56.13  1.639  46
58.86  1.569  19
78.75  1.215  25

***

Structure and calculated powder diffraction line list of ErThAg (a DFT-relaxed cell (GGA-PBE, Alexandria); Cu Ka).
No peak broadening, texture or thermal motion is included.

Atomic structure:
a = 5.764 Å, b = 9.959 Å, c = 11.454 Å
α = 90.00°, β = 90.00°, γ = 90.00°
Space group Fmmm (No. 69)
Symmetry-distinct sites (fractional):
Er (0.000, 0.000, 0.147) [8 per cell]
Th (0.000, 0.165, 0.500) [8 per cell]
Ag (0.250, 0.250, 0.250) [8 per cell]

Peak list (6 most intense, 10° ≤ 2θ ≤ 90°, low angle first)
2theta  d [Å]  intensity
29.46  3.032  86
32.08  2.790  100
34.85  2.575  33
36.19  2.482  45
39.42  2.286  59
58.65  1.574  24